Starting from a PBE+U-relaxed structure, the powder XRD pattern of LiInWF6 was computed for Cu Kα, 1.54184 Å.

Top 10 peaks for 10° ≤ 2θ ≤ 90°, in order of rising 2θ:
(0 0 2), 14.52°, I = 16
(1 0 1), 20.15°, I = 78
(1 0 2), 23.82°, I = 100
(1 0 3), 28.96°, I = 30
(1 1 0), 32.82°, I = 29
(2 0 2), 40.96°, I = 20
(1 1 4), 44.55°, I = 49
(2 1 2), 53.45°, I = 21
(2 1 3), 56.25°, I = 14
(3 0 0), 58.60°, I = 13

Atomic structure:
```
18
Lattice="5.4571 0.0000 0.0000 -2.7285 4.7260 0.0000 0.0000 0.0000 12.2028" Properties=species:S:1:pos:R:3 pbc="T T T"
Li 0.0000 3.1506 3.0507
Li 2.7285 1.5753 9.1521
In 0.0000 0.0000 0.0000
In 0.0000 0.0000 6.1014
W 0.0000 3.1506 9.1521
W 2.7285 1.5753 3.0507
F -0.9480 1.7714 8.0149
F -1.6685 3.0192 10.2894
F 0.9480 1.7714 10.2894
F -0.7204 4.6613 8.0149
F 2.0081 0.0647 1.9135
F 1.0601 1.7067 4.1879
F 1.6685 3.0192 8.0149
F 0.7204 4.6613 10.2894
F 3.4489 0.0647 4.1879
F 1.7805 2.9545 1.9135
F 4.3970 1.7067 1.9135
F 3.6766 2.9545 4.1879
```